Theoretical powder XRD pattern of Sm2Zn5Au for copper Kα, from the GGA-PBE geometry in Alexandria.
Lines closer than 0.1° are merged.

Most intense lines, 2θ = 10–90°, most intense first:
hkl 1 3 2, 2θ = 33.05°, intensity 100
hkl 1 5 0, 2θ = 34.22°, intensity 73
hkl 2 0 0, 2θ = 41.67°, intensity 54
hkl 1 1 2, 2θ = 29.15°, intensity 50
hkl 0 0 4, 2θ = 40.17°, intensity 35
hkl 1 1 3, 2θ = 36.91°, intensity 28

Cell and atoms:
```
data_Sm2Zn5Au
_space_group_name_H-M_alt 'C m c m'
_space_group_IT_number 63
_space_group_name_Hall '-C 2c 2'
_cell_length_a 4.3364
_cell_length_b 16.4404
_cell_length_c 8.9760
_cell_angle_alpha 90.00
_cell_angle_beta 90.00
_cell_angle_gamma 90.00
loop_
_atom_site_label
_atom_site_type_symbol
_atom_site_fract_x
_atom_site_fract_y
_atom_site_fract_z
_atom_site_occupancy
Sm1 Sm 0.0000 0.0000 0.0000 1
Sm2 Sm 0.0000 0.1979 0.2500 1
Zn1 Zn 0.0000 0.1873 0.6079 1
Zn2 Zn 0.0000 0.3467 0.5207 1
Zn3 Zn 0.0000 0.3946 0.2500 1
Au1 Au 0.0000 0.4480 0.7500 1
```

***

Theoretical powder XRD pattern of SmZn2Au2 for copper Kα, from the GGA-PBE geometry in Alexandria.
Lines closer than 0.1° are merged.

Most intense lines, 2θ = 10–90°, most intense first:
hkl 1 0 5, 2θ = 42.06°, intensity 100
hkl 1 0 3, 2θ = 30.71°, intensity 97
hkl 1 1 2, 2θ = 34.71°, intensity 82
hkl 2 0 0, 2θ = 45.36°, intensity 69
hkl 1 1 0, 2θ = 31.64°, intensity 63
hkl 2 1 5, 2θ = 63.57°, intensity 60

Cell and atoms:
```
data_SmZn2Au2
_space_group_name_H-M_alt 'I 4/m m m'
_space_group_IT_number 139
_space_group_name_Hall '-I 4 2'
_cell_length_a 3.9989
_cell_length_b 3.9989
_cell_length_c 12.7368
_cell_angle_alpha 90.00
_cell_angle_beta 90.00
_cell_angle_gamma 90.00
loop_
_atom_site_label
_atom_site_type_symbol
_atom_site_fract_x
_atom_site_fract_y
_atom_site_fract_z
_atom_site_occupancy
Sm1 Sm 0.0000 0.0000 0.0000 1
Zn1 Zn 0.0000 0.5000 0.2500 1
Au1 Au 0.0000 0.0000 0.3900 1
```

***

Theoretical powder XRD pattern of Sm2Zn7Au12 for copper Kα, from the GGA-PBE geometry in Alexandria.
Lines closer than 0.1° are merged.

Most intense lines, 2θ = 10–90°, most intense first:
hkl 2 1 1, 2θ = 33.76°, intensity 100
hkl 2 2 1, 2θ = 40.76°, intensity 35
hkl 0 0 2, 2θ = 42.30°, intensity 28
hkl 1 3 1, 2θ = 42.05°, intensity 22
hkl 2 3 0, 2θ = 44.03°, intensity 15
hkl 1 3 0, 2θ = 36.13°, intensity 12

Cell and atoms:
```
data_Sm2Zn7Au12
_space_group_name_H-M_alt 'P -6'
_space_group_IT_number 174
_cell_length_a 10.3506
_cell_length_b 10.3506
_cell_length_c 4.2737
_cell_angle_alpha 90.00
_cell_angle_beta 90.00
_cell_angle_gamma 120.00
loop_
_space_group_symop_operation_xyz
'x,y,z'
'-x+y,-x,-z'
'-y,x-y,z'
'x,y,-z'
'-x+y,-x,z'
'-y,x-y,-z'
loop_
_atom_site_label
_atom_site_type_symbol
_atom_site_fract_x
_atom_site_fract_y
_atom_site_fract_z
_atom_site_occupancy
Sm1 Sm 0.0000 0.0000 0.0000 1
Sm2 Sm 0.3333 0.6667 0.5000 1
Zn1 Zn 0.0302 0.4805 0.0000 1
Zn2 Zn 0.2721 0.2683 0.5000 1
Zn3 Zn 0.6667 0.3333 0.0000 1
Au1 Au 0.0122 0.2464 0.5000 1
Au2 Au 0.1728 0.7704 0.0000 1
Au3 Au 0.3720 0.1971 0.0000 1
Au4 Au 0.5658 0.1363 0.5000 1
```

***

Theoretical powder XRD pattern of SmZn9Au3 for copper Kα, from the GGA-PBE geometry in Alexandria.
Lines closer than 0.1° are merged.

Most intense lines, 2θ = 10–90°, most intense first:
hkl 0 4 2, 2θ = 40.08°, intensity 100
hkl 2 2 0, 2θ = 38.09°, intensity 93
hkl 2 2 -2, 2θ = 38.48°, intensity 87
hkl 0 2 1, 2θ = 19.73°, intensity 78
hkl 0 6 1, 2θ = 45.06°, intensity 66
hkl 0 0 2, 2θ = 28.05°, intensity 55

Cell and atoms:
```
data_SmZn9Au3
_space_group_name_H-M_alt 'C 1 2/m 1'
_space_group_IT_number 12
_cell_length_a 5.5157
_cell_length_b 12.7377
_cell_length_c 6.8908
_cell_angle_alpha 90.00
_cell_angle_beta 112.71
_cell_angle_gamma 90.00
loop_
_space_group_symop_operation_xyz
'x,y,z'
'-x,-y,-z'
'-x,y,-z'
'x,-y,z'
'x+1/2,y+1/2,z'
'-x+1/2,-y+1/2,-z'
'-x+1/2,y+1/2,-z'
'x+1/2,-y+1/2,z'
loop_
_atom_site_label
_atom_site_type_symbol
_atom_site_fract_x
_atom_site_fract_y
_atom_site_fract_z
_atom_site_occupancy
Sm1 Sm 0.0000 0.0000 0.0000 1
Zn1 Zn 0.0000 0.5000 0.5000 1
Zn2 Zn 0.0999 0.3948 0.2158 1
Zn3 Zn 0.1811 0.1774 0.3585 1
Au1 Au 0.0000 0.0000 0.5000 1
Au2 Au 0.2500 0.2500 0.0000 1
```